[1]
Structure and calculated PXRD pattern of Pu5Zn3In3 (DFT lattice parameters and positions (PBE); Cu Kα (weighted mean of Kα1 and Kα2)).
Intensities are scaled so that the largest is 100.

Peak list (10 most intense, 2θ = 10–80°, sorted by position)
Position (°2θ), d (Å), Rel. int., (hkl)
29.05, 3.074, 21, 0 0 1
30.82, 2.901, 100, 3 0 0
34.20, 2.622, 66, 1 1 1
37.25, 2.414, 18, 3 1 0
42.86, 2.110, 29, 3 0 1
46.69, 1.945, 35, 2 2 1
54.82, 1.675, 23, 3 3 0
57.00, 1.616, 19, 4 1 1
64.22, 1.450, 19, 6 0 0
69.17, 1.358, 20, 3 0 2

Crystal structure
Unit cell a=10.0494 b=10.0494 c=3.0739 alpha=90.00 beta=90.00 gamma=120.00
Space group P-62m (No. 189)
Inequivalent atoms, fractional coordinates:
Pu 0.0000 0.6574 0.0000 (multiplicity 3)
Pu 0.3333 0.6667 0.0000 (multiplicity 2)
Zn 0.0000 0.1435 0.0000 (multiplicity 3)
In 0.0000 0.3728 0.5000 (multiplicity 3)

[2]
Structure and calculated PXRD pattern of Pu2ZnIn (DFT lattice parameters and positions (PBE); Cu Kα (weighted mean of Kα1 and Kα2)).
Intensities are scaled so that the largest is 100.

Peak list (10 most intense, 2θ = 10–80°, sorted by position)
Position (°2θ), d (Å), Rel. int., (hkl)
18.85, 4.707, 18, 0 0 2
28.27, 3.157, 15, 1 0 0
34.20, 2.622, 100, 1 0 2
38.24, 2.354, 17, 0 0 4
40.41, 2.232, 33, 1 1 0
56.86, 1.619, 26, 1 1 4
58.47, 1.578, 11, 2 0 0
66.55, 1.405, 11, 1 0 6
69.52, 1.352, 26, 2 1 2
72.04, 1.311, 11, 2 0 4

Crystal structure
Unit cell a=3.1567 b=3.1567 c=9.4147 alpha=90.00 beta=90.00 gamma=90.00
Space group P4/mmm (No. 123)
Inequivalent atoms, fractional coordinates:
Pu 0.0000 0.0000 0.2335 (multiplicity 2)
Zn 0.5000 0.5000 0.0000 (multiplicity 1)
In 0.5000 0.5000 0.5000 (multiplicity 1)